Starting from DFT lattice parameters and positions (GGA+U), the powder XRD pattern of Rh3WO7 was simulated for λ = 1.5418 Å (Cu Kα).
Peak positions follow from Bragg's law for the DFT cell and can differ from measured ones.

Peak list (12 most intense, 5° ≤ 2θ ≤ 70°, sorted by position)
d_spacing, intensity, (hkl)
4.366, 26, 1 1 0
3.358, 100, 0 2 1
3.289, 49, 0 1 2
2.662, 36, 2 1 1
2.627, 24, 2 0 2
2.183, 15, 2 2 0
2.016, 24, 1 3 1
1.819, 14, 3 1 2
1.751, 28, 0 3 3
1.567, 19, 2 3 2
1.539, 16, 2 1 4
1.455, 14, 3 3 0

Structural model:
Unit cell a=8.7330 b=8.7330 c=7.3050 alpha=90.00 beta=90.00 gamma=120.00
Space group R3m (No. 160, hexagonal axes)
One atom of each set of equivalent atoms:
Rh 0.2129 0.4259 0.0000 (multiplicity 9)
W 0.0000 0.0000 0.7502 (multiplicity 3)
O 0.0000 0.0000 0.4867 (multiplicity 3)
O 0.0630 0.5315 0.8903 (multiplicity 9)
O 0.1114 0.2227 0.8320 (multiplicity 9)